# 1
Diffraction record for Ho2Ga6Ag3. The PXRD pattern is theoretical, not measured: it uses a DFT-relaxed cell (GGA-PBE, Alexandria) and CuKα.
No peak broadening, texture or thermal motion is included.

Crystal structure
```
data_Ho2Ga6Ag3
_cell_length_a 7.729
_cell_length_b 7.729
_cell_length_c 3.840
_cell_angle_alpha 90.00
_cell_angle_beta 90.00
_cell_angle_gamma 99.95
_symmetry_space_group_name_H-M 'P 1'
_symmetry_Int_Tables_number 1
loop_
_symmetry_equiv_pos_as_xyz
'x,y,z'
loop_
_atom_site_label
_atom_site_type_symbol
_atom_site_fract_x
_atom_site_fract_y
_atom_site_fract_z
Ho1 Ho 0.197 0.803 0.000
Ho2 Ho 0.803 0.197 0.000
Ga1 Ga 0.119 0.119 0.500
Ga2 Ga 0.149 0.470 0.500
Ga3 Ga 0.470 0.149 0.500
Ga4 Ga 0.530 0.851 0.500
Ga5 Ga 0.851 0.530 0.500
Ga6 Ga 0.881 0.881 0.500
Ag1 Ag 0.293 0.293 0.000
Ag2 Ag 0.500 0.500 0.500
Ag3 Ag 0.707 0.707 0.000
```

Largest 10 diffraction maxima, in order of rising 2θ, 5 to 70 degrees two-theta:
| 2theta | d (Å) | I/Imax |
| --- | --- | --- |
| 23.4 | 3.807 | 15 |
| 33.1 | 2.703 | 100 |
| 33.8 | 2.652 | 40 |
| 35.4 | 2.538 | 33 |
| 36.6 | 2.454 | 19 |
| 42.7 | 2.119 | 29 |
| 46.0 | 1.974 | 26 |
| 47.3 | 1.920 | 25 |
| 53.2 | 1.722 | 21 |
| 57.2 | 1.612 | 17 |

# 2
Diffraction record for HoGaAgPb. The PXRD pattern is theoretical, not measured: it uses a DFT-relaxed cell (GGA-PBE, Alexandria) and CuKα.
No peak broadening, texture or thermal motion is included.

Crystal structure
```
data_HoGaAgPb
_cell_length_a 5.100
_cell_length_b 5.100
_cell_length_c 5.100
_cell_angle_alpha 60.00
_cell_angle_beta 60.00
_cell_angle_gamma 60.00
_symmetry_space_group_name_H-M 'P 1'
_symmetry_Int_Tables_number 1
loop_
_symmetry_equiv_pos_as_xyz
'x,y,z'
loop_
_atom_site_label
_atom_site_type_symbol
_atom_site_fract_x
_atom_site_fract_y
_atom_site_fract_z
Ho1 Ho 0.000 0.000 0.000
Ga1 Ga 0.750 0.750 0.750
Ag1 Ag 0.250 0.250 0.250
Pb1 Pb 0.500 0.500 0.500
```

Largest 9 diffraction maxima, in order of rising 2θ, 5 to 70 degrees two-theta:
| 2theta | d (Å) | I/Imax |
| --- | --- | --- |
| 21.3 | 4.164 | 2 |
| 24.7 | 3.606 | 13 |
| 35.2 | 2.550 | 100 |
| 41.5 | 2.175 | 1 |
| 43.5 | 2.082 | 4 |
| 50.6 | 1.803 | 18 |
| 55.5 | 1.655 | 1 |
| 57.1 | 1.613 | 6 |
| 63.2 | 1.472 | 36 |

# 3
Diffraction record for Ga6AgI12. The PXRD pattern is theoretical, not measured: it uses a DFT-relaxed cell (GGA-PBE, Alexandria) and CuKα.
No peak broadening, texture or thermal motion is included.

Crystal structure
```
data_Ga6AgI12
_cell_length_a 8.665
_cell_length_b 10.945
_cell_length_c 11.532
_cell_angle_alpha 63.77
_cell_angle_beta 70.43
_cell_angle_gamma 79.07
_symmetry_space_group_name_H-M 'P 1'
_symmetry_Int_Tables_number 1
loop_
_symmetry_equiv_pos_as_xyz
'x,y,z'
loop_
_atom_site_label
_atom_site_type_symbol
_atom_site_fract_x
_atom_site_fract_y
_atom_site_fract_z
Ga1 Ga 0.005 0.335 0.238
Ga2 Ga 0.157 0.272 0.048
Ga3 Ga 0.247 0.905 0.866
Ga4 Ga 0.753 0.095 0.134
Ga5 Ga 0.843 0.728 0.952
Ga6 Ga 0.995 0.665 0.762
Ag1 Ag 0.500 0.500 0.000
I1 I 0.027 0.387 0.835
I2 I 0.127 0.008 0.128
I3 I 0.141 0.260 0.424
I4 I 0.293 0.747 0.685
I5 I 0.427 0.118 0.680
I6 I 0.481 0.303 0.931
I7 I 0.519 0.697 0.069
I8 I 0.573 0.882 0.320
I9 I 0.707 0.253 0.315
I10 I 0.859 0.740 0.576
I11 I 0.873 0.992 0.872
I12 I 0.973 0.613 0.165
```

Largest 10 diffraction maxima, in order of rising 2θ, 5 to 70 degrees two-theta:
| 2theta | d (Å) | I/Imax |
| --- | --- | --- |
| 8.9 | 9.913 | 100 |
| 19.6 | 4.535 | 48 |
| 22.6 | 3.933 | 57 |
| 23.2 | 3.834 | 54 |
| 24.5 | 3.636 | 36 |
| 24.8 | 3.592 | 84 |
| 25.0 | 3.569 | 40 |
| 25.9 | 3.441 | 39 |
| 26.0 | 3.421 | 63 |
| 34.3 | 2.616 | 36 |

# 4
Diffraction record for LiGaAgI2. The PXRD pattern is theoretical, not measured: it uses a DFT-relaxed cell (GGA-PBE, Alexandria) and CuKα.
No peak broadening, texture or thermal motion is included.

Crystal structure
```
data_LiGaAgI2
_cell_length_a 5.575
_cell_length_b 5.575
_cell_length_c 4.927
_cell_angle_alpha 90.00
_cell_angle_beta 90.00
_cell_angle_gamma 90.00
_symmetry_space_group_name_H-M 'P 1'
_symmetry_Int_Tables_number 1
loop_
_symmetry_equiv_pos_as_xyz
'x,y,z'
loop_
_atom_site_label
_atom_site_type_symbol
_atom_site_fract_x
_atom_site_fract_y
_atom_site_fract_z
Li1 Li 0.000 0.000 0.000
Ga1 Ga 0.500 0.500 0.500
Ag1 Ag 0.000 0.000 0.500
I1 I 0.000 0.500 0.000
I2 I 0.500 0.000 0.000
```

Largest 10 diffraction maxima, in order of rising 2θ, 5 to 70 degrees two-theta:
| 2theta | d (Å) | I/Imax |
| --- | --- | --- |
| 15.9 | 5.575 | 2 |
| 29.0 | 3.078 | 100 |
| 32.1 | 2.788 | 40 |
| 36.5 | 2.463 | 14 |
| 46.0 | 1.971 | 14 |
| 49.4 | 1.846 | 23 |
| 55.3 | 1.660 | 31 |
| 60.1 | 1.539 | 13 |
| 61.1 | 1.516 | 12 |
| 67.2 | 1.394 | 5 |

# 5
Diffraction record for InGa3Ag9. The PXRD pattern is theoretical, not measured: it uses a DFT-relaxed cell (GGA-PBE, Alexandria) and CuKα.
No peak broadening, texture or thermal motion is included.

Crystal structure
```
data_InGa3Ag9
_cell_length_a 6.938
_cell_length_b 7.650
_cell_length_c 9.425
_cell_angle_alpha 90.00
_cell_angle_beta 90.59
_cell_angle_gamma 90.00
_symmetry_space_group_name_H-M 'P 1'
_symmetry_Int_Tables_number 1
loop_
_symmetry_equiv_pos_as_xyz
'x,y,z'
loop_
_atom_site_label
_atom_site_type_symbol
_atom_site_fract_x
_atom_site_fract_y
_atom_site_fract_z
In1 In 0.000 0.250 0.199
In2 In 0.000 0.750 0.801
Ga1 Ga 0.000 0.000 0.500
Ga2 Ga 0.000 0.500 0.500
Ga3 Ga 0.426 0.585 0.119
Ga4 Ga 0.426 0.915 0.119
Ga5 Ga 0.574 0.085 0.881
Ga6 Ga 0.574 0.415 0.881
Ag1 Ag 0.073 0.750 0.270
Ag2 Ag 0.171 0.065 0.944
Ag3 Ag 0.171 0.435 0.944
Ag4 Ag 0.304 0.067 0.663
Ag5 Ag 0.304 0.433 0.663
Ag6 Ag 0.307 0.067 0.354
Ag7 Ag 0.307 0.433 0.354
Ag8 Ag 0.365 0.750 0.508
Ag9 Ag 0.424 0.750 0.839
Ag10 Ag 0.576 0.250 0.161
Ag11 Ag 0.635 0.250 0.492
Ag12 Ag 0.693 0.567 0.646
Ag13 Ag 0.693 0.933 0.646
Ag14 Ag 0.696 0.567 0.337
Ag15 Ag 0.696 0.933 0.337
Ag16 Ag 0.829 0.565 0.056
Ag17 Ag 0.829 0.935 0.056
Ag18 Ag 0.927 0.250 0.730
```

Largest 10 diffraction maxima, in order of rising 2θ, 5 to 70 degrees two-theta:
| 2theta | d (Å) | I/Imax |
| --- | --- | --- |
| 32.9 | 2.724 | 43 |
| 34.3 | 2.613 | 39 |
| 34.9 | 2.569 | 43 |
| 37.0 | 2.428 | 54 |
| 37.6 | 2.393 | 94 |
| 38.5 | 2.340 | 88 |
| 40.1 | 2.250 | 77 |
| 40.2 | 2.241 | 100 |
| 40.7 | 2.215 | 50 |
| 45.1 | 2.009 | 49 |

# 6
Diffraction record for InGa3Ag8. The PXRD pattern is theoretical, not measured: it uses a DFT-relaxed cell (GGA-PBE, Alexandria) and CuKα.
No peak broadening, texture or thermal motion is included.

Crystal structure
```
data_InGa3Ag8
_cell_length_a 7.398
_cell_length_b 7.398
_cell_length_c 5.343
_cell_angle_alpha 90.00
_cell_angle_beta 90.00
_cell_angle_gamma 120.00
_symmetry_space_group_name_H-M 'P 1'
_symmetry_Int_Tables_number 1
loop_
_symmetry_equiv_pos_as_xyz
'x,y,z'
loop_
_atom_site_label
_atom_site_type_symbol
_atom_site_fract_x
_atom_site_fract_y
_atom_site_fract_z
In1 In 0.000 0.000 0.000
Ga1 Ga 0.000 0.000 0.500
Ga2 Ga 0.333 0.667 0.500
Ga3 Ga 0.667 0.333 0.500
Ag1 Ag 0.000 0.339 0.706
Ag2 Ag 0.000 0.661 0.294
Ag3 Ag 0.333 0.667 0.000
Ag4 Ag 0.339 0.000 0.706
Ag5 Ag 0.339 0.339 0.294
Ag6 Ag 0.661 0.000 0.294
Ag7 Ag 0.661 0.661 0.706
Ag8 Ag 0.667 0.333 0.000
```

Largest 10 diffraction maxima, in order of rising 2θ, 5 to 70 degrees two-theta:
| 2theta | d (Å) | I/Imax |
| --- | --- | --- |
| 24.1 | 3.699 | 12 |
| 29.4 | 3.041 | 100 |
| 41.7 | 2.166 | 85 |
| 42.3 | 2.135 | 76 |
| 51.3 | 1.781 | 4 |
| 52.4 | 1.748 | 19 |
| 57.4 | 1.605 | 7 |
| 60.9 | 1.521 | 26 |
| 68.6 | 1.368 | 8 |
| 69.5 | 1.352 | 15 |